Diffraction record for ZnGaMo4N2. The X-ray powder pattern is theoretical, not measured: it uses a DFT-relaxed cell (PBE, OQMD) and copper Kα.
Kinematic intensities with the Lorentz-polarization factor, no thermal factor.

Principal peaks in the range 2θ = 10–90°, low angle first:
(0 0 4), d = 3.648 Å, I 5; (1 0 0), d = 2.468 Å, I 20; (0 0 6), d = 2.432 Å, I 26; (1 0 3), d = 2.201 Å, I 100; (1 0 6), d = 1.732 Å, I 16; (1 0 7), d = 1.593 Å, I 5; (1 1 0), d = 1.425 Å, I 18; (1 0 9), d = 1.355 Å, I 14; (1 1 6), d = 1.230 Å, I 16; (2 0 3), d = 1.196 Å, I 13

Structural model:
Cell lengths 2.8503, 2.8503, 14.5927 Å; angles 90.00, 90.00, 120.00 degrees
Positions (direct):
Zn1 0.0000 0.0000 0.0000
Ga1 0.6667 0.3333 0.5000
Mo1 0.0000 0.0000 0.3469
Mo2 0.0000 0.0000 0.6531
Mo3 0.6667 0.3333 0.1548
Mo4 0.6667 0.3333 0.8452
N1 0.3333 0.6667 0.2508
N2 0.3333 0.6667 0.7492